[1]
Theoretical powder XRD pattern of Sr2Mn2O5 for copper Kα, from a cell relaxed with GGA+U.

Atomic structure:
```
data_Sr2Mn2O5
_space_group_name_H-M_alt 'P 4/m m m'
_space_group_IT_number 123
_space_group_name_Hall '-P 4 2'
_cell_length_a 5.716
_cell_length_b 5.716
_cell_length_c 3.688
_cell_angle_alpha 90.00
_cell_angle_beta 90.00
_cell_angle_gamma 90.00
loop_
_atom_site_label
_atom_site_type_symbol
_atom_site_fract_x
_atom_site_fract_y
_atom_site_fract_z
Sr1 Sr 0.000 0.500 0.000
Mn1 Mn 0.000 0.000 0.500
Mn2 Mn 0.500 0.500 0.500
O1 O 0.000 0.000 0.000
O2 O 0.264 0.264 0.500
```

Peak list (12 most intense, 2θ = 15–90°, in order of falling intensity)
| d/Å | 2θ (°) | I/Imax | h k l |
| --- | --- | --- | --- |
| 2.724 | 32.9 | 100 | 1 1 1 |
| 2.858 | 31.3 | 44 | 2 0 0 |
| 1.623 | 56.7 | 40 | 3 1 1 |
| 2.021 | 44.8 | 37 | 2 2 0 |
| 1.362 | 68.9 | 18 | 2 2 2 |
| 2.259 | 39.9 | 16 | 2 0 1 |
| 1.549 | 59.7 | 14 | 2 0 2 |
| 1.844 | 49.4 | 13 | 0 0 2 |
| 1.129 | 86.1 | 11 | 4 0 2 |
| 1.429 | 65.3 | 11 | 4 0 0 |
| 1.265 | 75.1 | 9 | 3 3 1 |
| 1.278 | 74.2 | 8 | 4 2 0 |



[2]
Theoretical powder XRD pattern of SrCa7Mn7CrO24 for copper Kα, from a cell relaxed with GGA+U.

Atomic structure:
```
data_SrCa7Mn7CrO24
_space_group_name_H-M_alt 'R 3 m'
_space_group_IT_number 160
_space_group_name_Hall 'R 3 -2"'
_cell_length_a 10.7946
_cell_length_b 10.7946
_cell_length_c 13.2106
_cell_angle_alpha 90.00
_cell_angle_beta 90.00
_cell_angle_gamma 120.00
loop_
_atom_site_label
_atom_site_type_symbol
_atom_site_fract_x
_atom_site_fract_y
_atom_site_fract_z
Sr1 Sr 0.0000 0.0000 0.0000
Ca1 Ca 0.0000 0.0000 0.4937
Ca2 Ca 0.0049 0.5025 0.9967
Ca3 Ca 0.1690 0.3379 0.8321
Mn1 Mn 0.0000 0.0000 0.2481
Mn2 Mn 0.0003 0.5002 0.2472
Mn3 Mn 0.1670 0.3340 0.0812
Cr1 Cr 0.0000 0.0000 0.7460
O1 O 0.0003 0.2495 0.4980
O2 O 0.9996 0.2528 0.9974
O3 O 0.0819 0.1639 0.6658
O4 O 0.0842 0.1685 0.1665
O5 O 0.1661 0.0830 0.3313
O6 O 0.1660 0.0830 0.8278
```

Peak list (12 most intense, 2θ = 15–90°, in order of falling intensity)
| d/Å | 2θ (°) | I/Imax | h k l |
| --- | --- | --- | --- |
| 2.698 | 33.2 | 100 | 2 2 0 |
| 1.908 | 47.7 | 50 | 4 0 4 |
| 1.558 | 59.3 | 35 | 6 0 0 |
| 1.349 | 69.7 | 26 | 4 4 0 |
| 1.207 | 79.4 | 14 | 6 2 4 |
| 3.815 | 23.3 | 11 | 2 0 2 |
| 1.101 | 88.8 | 9 | 0 8 4 |
| 2.203 | 41.0 | 8 | 0 4 2 |
| 1.706 | 53.7 | 3 | 4 2 2 |
| 5.396 | 16.4 | 2 | 1 1 0 |
| 3.413 | 26.1 | 2 | 1 1 3 |
| 3.115 | 28.7 | 1 | 1 2 2 |



[3]
Theoretical powder XRD pattern of CaW5O7 for copper Kα, from a cell relaxed with GGA+U.

Atomic structure:
```
data_CaW5O7
_space_group_name_H-M_alt 'C m c m'
_space_group_IT_number 63
_space_group_name_Hall '-C 2c 2'
_cell_length_a 3.272
_cell_length_b 10.791
_cell_length_c 18.670
_cell_angle_alpha 90.00
_cell_angle_beta 90.00
_cell_angle_gamma 90.00
loop_
_atom_site_label
_atom_site_type_symbol
_atom_site_fract_x
_atom_site_fract_y
_atom_site_fract_z
Ca1 Ca 0.000 0.183 0.250
W1 W 0.000 0.000 0.000
W2 W 0.000 0.315 0.573
W3 W 0.000 0.441 0.147
O1 O 0.000 0.093 0.136
O2 O 0.000 0.189 0.669
O3 O 0.000 0.302 0.047
O4 O 0.000 0.474 0.750
```

Peak list (12 most intense, 2θ = 15–90°, in order of falling intensity)
| d/Å | 2θ (°) | I/Imax | h k l |
| --- | --- | --- | --- |
| 2.600 | 34.5 | 100 | 1 1 4 |
| 2.696 | 33.2 | 98 | 0 2 6 |
| 2.343 | 38.4 | 93 | 1 3 2 |
| 2.400 | 37.5 | 71 | 1 3 1 |
| 3.070 | 29.1 | 71 | 0 2 5 |
| 2.670 | 33.6 | 44 | 0 4 1 |
| 2.797 | 32.0 | 43 | 1 1 3 |
| 1.730 | 52.9 | 43 | 1 1 9 |
| 2.142 | 42.2 | 38 | 0 2 8 |
| 2.475 | 36.3 | 34 | 0 4 3 |
| 1.636 | 56.2 | 31 | 2 0 0 |
| 1.559 | 59.3 | 30 | 1 5 6 |



[4]
Theoretical powder XRD pattern of Al2NiO4 for copper Kα, from a cell relaxed with GGA+U.

Atomic structure:
```
data_Al2NiO4
_space_group_name_H-M_alt 'C 1 m 1'
_space_group_IT_number 8
_cell_length_a 9.995
_cell_length_b 5.759
_cell_length_c 18.966
_cell_angle_alpha 90.00
_cell_angle_beta 100.16
_cell_angle_gamma 90.00
loop_
_space_group_symop_operation_xyz
'x,y,z'
'x,-y,z'
'x+1/2,y+1/2,z'
'x+1/2,-y+1/2,z'
loop_
_atom_site_label
_atom_site_type_symbol
_atom_site_fract_x
_atom_site_fract_y
_atom_site_fract_z
Al1 Al 0.000 0.000 0.000
Al2 Al 0.023 0.248 0.346
Al3 Al 0.027 0.252 0.844
Al4 Al 0.050 0.500 0.686
Al5 Al 0.149 0.500 0.967
Al6 Al 0.248 0.500 0.250
Al7 Al 0.250 0.000 0.754
Al8 Al 0.274 0.250 0.595
Al9 Al 0.276 0.245 0.094
Al10 Al 0.298 0.500 0.439
Al11 Al 0.398 0.000 0.217
Al12 Al 0.498 0.000 0.503
Ni1 Ni 0.022 0.500 0.095
Ni2 Ni 0.024 0.000 0.595
Ni3 Ni 0.055 0.000 0.190
Ni4 Ni 0.148 0.000 0.470
Ni5 Ni 0.271 0.000 0.346
Ni6 Ni 0.275 0.500 0.844
Ni7 Ni 0.305 0.000 0.936
Ni8 Ni 0.400 0.500 0.720
O1 O 0.076 0.000 0.296
O2 O 0.078 0.500 0.283
O3 O 0.081 0.500 0.782
O4 O 0.089 0.000 0.788
O5 O 0.098 0.252 0.536
O6 O 0.099 0.259 0.032
O7 O 0.195 0.271 0.906
O8 O 0.199 0.255 0.404
O9 O 0.213 0.500 0.652
O10 O 0.219 0.000 0.655
O11 O 0.219 0.500 0.152
O12 O 0.227 0.000 0.154
O13 O 0.329 0.000 0.040
O14 O 0.329 0.500 0.536
O15 O 0.331 0.500 0.033
O16 O 0.335 0.000 0.537
O17 O 0.347 0.240 0.282
O18 O 0.350 0.247 0.787
O19 O 0.444 0.232 0.157
O20 O 0.450 0.249 0.653
O21 O 0.456 0.500 0.404
O22 O 0.467 0.000 0.404
O23 O 0.470 0.500 0.903
O24 O 0.482 0.000 0.903
```

Peak list (12 most intense, 2θ = 15–90°, in order of falling intensity)
| d/Å | 2θ (°) | I/Imax | h k l |
| --- | --- | --- | --- |
| 2.456 | 36.6 | 100 | 3 1 -5 |
| 2.032 | 44.6 | 78 | 2 2 -6 |
| 2.452 | 36.6 | 68 | 3 1 3 |
| 2.442 | 36.8 | 62 | 1 1 -7 |
| 4.700 | 18.9 | 45 | 1 1 1 |
| 1.433 | 65.1 | 40 | 2 2 10 |
| 1.442 | 64.6 | 40 | 6 2 -2 |
| 2.881 | 31.0 | 38 | 0 2 0 |
| 1.566 | 59.0 | 32 | 5 1 5 |
| 2.865 | 31.2 | 28 | 1 1 5 |
| 1.440 | 64.7 | 21 | 0 4 0 |
| 1.434 | 65.0 | 20 | 4 0 -12 |



[5]
Theoretical powder XRD pattern of KFeSe4O12 for copper Kα, from a cell relaxed with GGA+U.

Atomic structure:
```
data_KFeSe4O12
_space_group_name_H-M_alt 'A m m 2'
_space_group_IT_number 38
_cell_length_a 7.443
_cell_length_b 7.608
_cell_length_c 8.402
_cell_angle_alpha 90.00
_cell_angle_beta 90.00
_cell_angle_gamma 90.00
loop_
_space_group_symop_operation_xyz
'x,y,z'
'-x,-y,z'
'-x,y,z'
'x,-y,z'
'x,y+1/2,z+1/2'
'-x,-y+1/2,z+1/2'
'-x,y+1/2,z+1/2'
'x,-y+1/2,z+1/2'
loop_
_atom_site_label
_atom_site_type_symbol
_atom_site_fract_x
_atom_site_fract_y
_atom_site_fract_z
K1 K 0.000 0.000 0.000
Fe1 Fe 0.500 0.000 0.397
Se1 Se 0.256 0.228 0.729
O1 O 0.000 0.224 0.686
O2 O 0.254 0.000 0.291
O3 O 0.280 0.185 0.921
O4 O 0.325 0.000 0.630
O5 O 0.500 0.186 0.198
```

Peak list (12 most intense, 2θ = 15–90°, in order of falling intensity)
| d/Å | 2θ (°) | I/Imax | h k l |
| --- | --- | --- | --- |
| 2.820 | 31.7 | 100 | 0 2 2 |
| 4.201 | 21.1 | 98 | 0 0 2 |
| 2.660 | 33.7 | 76 | 2 2 0 |
| 2.786 | 32.1 | 74 | 2 0 2 |
| 3.721 | 23.9 | 58 | 2 0 0 |
| 4.495 | 19.8 | 50 | 1 1 1 |
| 3.804 | 23.4 | 50 | 0 2 0 |
| 1.861 | 48.9 | 36 | 4 0 0 |
| 1.553 | 59.5 | 36 | 4 2 2 |
| 1.571 | 58.8 | 31 | 2 4 2 |
| 1.649 | 55.8 | 29 | 2 2 4 |
| 1.839 | 49.6 | 28 | 0 2 4 |



[6]
Theoretical powder XRD pattern of Li9Mn2Co5O16 for copper Kα, from a cell relaxed with GGA+U.

Atomic structure:
```
data_Li9Mn2Co5O16
_space_group_name_H-M_alt 'P 1'
_space_group_IT_number 1
_cell_length_a 5.144
_cell_length_b 5.938
_cell_length_c 10.068
_cell_angle_alpha 87.81
_cell_angle_beta 79.17
_cell_angle_gamma 71.12
loop_
_space_group_symop_operation_xyz
'x,y,z'
loop_
_atom_site_label
_atom_site_type_symbol
_atom_site_fract_x
_atom_site_fract_y
_atom_site_fract_z
Li1 Li 0.000 0.000 0.000
Li2 Li 0.000 0.257 0.758
Li3 Li 0.003 0.503 0.997
Li4 Li 0.005 0.501 0.495
Li5 Li 0.006 0.747 0.239
Li6 Li 0.494 0.376 0.625
Li7 Li 0.503 0.140 0.876
Li8 Li 0.506 0.869 0.117
Li9 Li 0.511 0.623 0.373
Mn1 Mn 0.002 0.748 0.752
Mn2 Mn 0.004 0.002 0.496
Co1 Co 0.003 0.253 0.246
Co2 Co 0.500 0.382 0.118
Co3 Co 0.503 0.878 0.622
Co4 Co 0.504 0.125 0.373
Co5 Co 0.506 0.625 0.877
O1 O 0.230 0.959 0.313
O2 O 0.231 0.703 0.565
O3 O 0.239 0.459 0.804
O4 O 0.248 0.408 0.306
O5 O 0.249 0.199 0.081
O6 O 0.257 0.909 0.800
O7 O 0.281 0.681 0.052
O8 O 0.287 0.172 0.553
O9 O 0.722 0.829 0.441
O10 O 0.726 0.333 0.935
O11 O 0.749 0.596 0.695
O12 O 0.758 0.085 0.199
O13 O 0.760 0.531 0.190
O14 O 0.763 0.818 0.922
O15 O 0.776 0.299 0.426
O16 O 0.778 0.050 0.679
```

Peak list (12 most intense, 2θ = 15–90°, in order of falling intensity)
| d/Å | 2θ (°) | I/Imax | h k l |
| --- | --- | --- | --- |
| 4.834 | 18.4 | 100 | 0 1 1 |
| 2.139 | 42.3 | 31 | 2 2 2 |
| 2.046 | 44.3 | 26 | 1 0 -4 |
| 2.040 | 44.4 | 25 | 1 -2 2 |
| 2.549 | 35.2 | 16 | 2 1 1 |
| 1.483 | 62.6 | 15 | 1 4 0 |
| 2.466 | 36.4 | 13 | 1 1 -3 |
| 2.459 | 36.5 | 12 | 1 -1 3 |
| 1.916 | 47.5 | 9 | 1 3 -1 |
| 1.473 | 63.1 | 8 | 3 2 -2 |
| 2.389 | 37.7 | 8 | 2 0 0 |
| 1.470 | 63.3 | 7 | 3 0 4 |



[7]
Theoretical powder XRD pattern of Li9Mn2Co5O16 for copper Kα, from a cell relaxed with GGA+U.

Atomic structure:
```
data_Li9Mn2Co5O16
_space_group_name_H-M_alt 'P 1 m 1'
_space_group_IT_number 6
_cell_length_a 10.268
_cell_length_b 2.905
_cell_length_c 10.342
_cell_angle_alpha 90.00
_cell_angle_beta 110.06
_cell_angle_gamma 90.00
loop_
_space_group_symop_operation_xyz
'x,y,z'
'x,-y,z'
loop_
_atom_site_label
_atom_site_type_symbol
_atom_site_fract_x
_atom_site_fract_y
_atom_site_fract_z
Li1 Li 0.000 0.000 0.000
Li2 Li 0.001 0.000 0.467
Li3 Li 0.240 0.500 0.480
Li4 Li 0.243 0.500 0.986
Li5 Li 0.488 0.000 0.476
Li6 Li 0.496 0.000 0.985
Li7 Li 0.751 0.500 0.476
Li8 Li 0.752 0.500 0.988
Li9 Li 0.997 0.500 0.232
Mn1 Mn 0.497 0.500 0.232
Mn2 Mn 0.746 0.000 0.730
Co1 Co 0.001 0.500 0.732
Co2 Co 0.229 0.000 0.239
Co3 Co 0.250 0.000 0.734
Co4 Co 0.494 0.500 0.732
Co5 Co 0.765 0.000 0.225
O1 O 0.112 0.000 0.845
O2 O 0.126 0.500 0.619
O3 O 0.133 0.000 0.354
O4 O 0.133 0.500 0.114
O5 O 0.363 0.500 0.852
O6 O 0.374 0.500 0.339
O7 O 0.377 0.000 0.619
O8 O 0.388 0.000 0.122
O9 O 0.606 0.000 0.345
O10 O 0.621 0.500 0.125
O11 O 0.622 0.000 0.838
O12 O 0.639 0.500 0.618
O13 O 0.857 0.500 0.841
O14 O 0.860 0.000 0.109
O15 O 0.860 0.500 0.350
O16 O 0.872 0.000 0.625
```

Peak list (12 most intense, 2θ = 15–90°, in order of falling intensity)
| d/Å | 2θ (°) | I/Imax | h k l |
| --- | --- | --- | --- |
| 4.857 | 18.3 | 100 | 0 0 2 |
| 2.071 | 43.7 | 54 | 2 1 2 |
| 2.111 | 42.8 | 27 | 4 0 -4 |
| 2.489 | 36.1 | 26 | 2 1 0 |
| 1.475 | 63.0 | 21 | 4 0 4 |
| 1.482 | 62.7 | 14 | 2 1 -6 |
| 2.533 | 35.4 | 14 | 4 0 -2 |
| 1.915 | 47.5 | 13 | 2 1 -4 |
| 1.602 | 57.5 | 10 | 2 1 4 |
| 1.453 | 64.1 | 8 | 0 2 0 |
| 2.394 | 37.6 | 7 | 2 1 -2 |
| 1.197 | 80.2 | 6 | 4 2 -4 |



[8]
Theoretical powder XRD pattern of YMnW2O8 for copper Kα, from a cell relaxed with GGA+U.

Atomic structure:
```
data_YMnW2O8
_space_group_name_H-M_alt 'P 1'
_space_group_IT_number 1
_cell_length_a 5.262
_cell_length_b 5.966
_cell_length_c 6.046
_cell_angle_alpha 69.59
_cell_angle_beta 65.78
_cell_angle_gamma 88.82
loop_
_space_group_symop_operation_xyz
'x,y,z'
loop_
_atom_site_label
_atom_site_type_symbol
_atom_site_fract_x
_atom_site_fract_y
_atom_site_fract_z
Y1 Y 0.000 0.000 0.000
Mn1 Mn 0.524 0.649 0.952
W1 W 0.236 0.642 0.522
W2 W 0.763 0.321 0.496
O1 O 0.161 0.438 0.318
O2 O 0.243 0.908 0.249
O3 O 0.250 0.766 0.780
O4 O 0.353 0.317 0.706
O5 O 0.679 0.654 0.295
O6 O 0.755 0.196 0.266
O7 O 0.761 0.029 0.753
O8 O 0.831 0.498 0.730
```

Peak list (12 most intense, 2θ = 15–90°, in order of falling intensity)
| d/Å | 2θ (°) | I/Imax | h k l |
| --- | --- | --- | --- |
| 3.373 | 26.4 | 100 | 1 1 0 |
| 3.240 | 27.5 | 92 | 1 -1 1 |
| 2.970 | 30.1 | 88 | -1 1 1 |
| 5.115 | 17.3 | 84 | 0 0 1 |
| 2.921 | 30.6 | 82 | 1 1 2 |
| 4.741 | 18.7 | 80 | 0 1 1 |
| 2.556 | 35.1 | 78 | 1 -2 0 |
| 2.629 | 34.1 | 62 | 2 0 1 |
| 3.207 | 27.8 | 51 | 0 1 -1 |
| 3.890 | 22.9 | 41 | 1 -1 0 |
| 5.534 | 16.0 | 40 | 0 1 0 |
| 2.610 | 34.4 | 36 | 1 2 1 |